Record 1
Computed powder XRD pattern
Compound: Cs2RbScBi2
Radiation: Cu Kα (weighted mean of Kα1 and Kα2)
Structure: a crystal structure in Alexandria, relaxed with PBE
Peak positions follow from Bragg's law for the DFT cell and can differ from measured ones.

Most intense lines, 2θ from 10° to 80°, by intensity:
- (1 4 1), 25.6 deg, I 100
- (2 0 2), 30.9 deg, I 69
- (0 0 2), 23.1 deg, I 33
- (2 3 1), 28.0 deg, I 28
- (1 4 3), 42.2 deg, I 27
- (2 0 0), 20.1 deg, I 25
- (0 4 2), 31.1 deg, I 24
- (1 2 1), 18.4 deg, I 21
- (2 4 0), 28.9 deg, I 19
- (1 8 1), 44.5 deg, I 19

Structural model:
```
data_Cs2RbScBi2
_cell_length_a 8.8140
_cell_length_b 17.3826
_cell_length_c 7.6882
_cell_angle_alpha 90.00
_cell_angle_beta 90.00
_cell_angle_gamma 90.00
_space_group_name_H-M_alt 'I b a m'
_space_group_IT_number 72
_space_group_name_Hall '-I 2 2c'
loop_
_atom_site_label
_atom_site_fract_x
_atom_site_fract_y
_atom_site_fract_z
Cs1 0.2268 0.1801 0.0000
Rb1 0.0000 0.5000 0.2500
Sc1 0.0000 0.0000 0.2500
Bi1 0.1861 0.0926 0.5000
```

=====

Record 2
Computed powder XRD pattern
Compound: SrSn2GePd2
Radiation: Cu Kα (weighted mean of Kα1 and Kα2)
Structure: a crystal structure in Alexandria, relaxed with PBE
Peak positions follow from Bragg's law for the DFT cell and can differ from measured ones.

Most intense lines, 2θ from 10° to 80°, by intensity:
- (1 0 2), 33.7 deg, I 100
- (2 0 0), 37.3 deg, I 90
- (2 1 2), 51.1 deg, I 62
- (0 0 1), 13.9 deg, I 50
- (1 1 1), 29.7 deg, I 49
- (1 1 2), 38.7 deg, I 36
- (2 2 0), 53.8 deg, I 31
- (2 0 4), 70.9 deg, I 31
- (1 1 0), 26.1 deg, I 21
- (0 0 4), 57.8 deg, I 19

Structural model:
```
data_SrSn2GePd2
_cell_length_a 4.8228
_cell_length_b 4.8228
_cell_length_c 6.3752
_cell_angle_alpha 90.00
_cell_angle_beta 90.00
_cell_angle_gamma 90.00
_space_group_name_H-M_alt 'P 4/m m m'
_space_group_IT_number 123
_space_group_name_Hall '-P 4 2'
loop_
_atom_site_label
_atom_site_fract_x
_atom_site_fract_y
_atom_site_fract_z
Sr1 0.0000 0.0000 0.0000
Sn1 0.5000 0.5000 0.2439
Ge1 0.0000 0.0000 0.5000
Pd1 0.0000 0.5000 0.5000
```

=====

Record 3
Computed powder XRD pattern
Compound: TlCdW
Radiation: Cu Kα (weighted mean of Kα1 and Kα2)
Structure: a crystal structure in Alexandria, relaxed with PBE
Peak positions follow from Bragg's law for the DFT cell and can differ from measured ones.

Most intense lines, 2θ from 10° to 80°, by intensity:
- (1 0 1), 36.1 deg, I 100
- (0 1 2), 41.5 deg, I 68
- (0 0 3), 34.7 deg, I 34
- (1 1 3), 72.2 deg, I 25
- (1 0 4), 59.2 deg, I 23
- (1 1 0), 61.1 deg, I 21
- (0 0 1), 11.4 deg, I 14
- (0 1 5), 70.4 deg, I 14
- (0 2 1), 73.0 deg, I 13
- (2 0 2), 76.5 deg, I 11

Structural model:
```
data_TlCdW
_cell_length_a 3.0346
_cell_length_b 3.0346
_cell_length_c 7.7624
_cell_angle_alpha 90.00
_cell_angle_beta 90.00
_cell_angle_gamma 120.00
_space_group_name_H-M_alt 'P 3 m 1'
_space_group_IT_number 156
loop_
_space_group_symop_operation_xyz
'x,y,z'
'-y,x-y,z'
'-x+y,-x,z'
'-y,-x,z'
'-x+y,y,z'
'x,x-y,z'
loop_
_atom_site_label
_atom_site_fract_x
_atom_site_fract_y
_atom_site_fract_z
Tl1 0.0000 0.0000 0.0000
Cd1 0.3333 0.6667 0.6337
W1 0.6667 0.3333 0.3260
```

=====

Record 4
Computed powder XRD pattern
Compound: Th4TlHg
Radiation: Cu Kα (weighted mean of Kα1 and Kα2)
Structure: a crystal structure in Alexandria, relaxed with PBE
Peak positions follow from Bragg's law for the DFT cell and can differ from measured ones.

Most intense lines, 2θ from 10° to 80°, by intensity:
- (2 1 1), 29.6 deg, I 100
- (3 1 0), 36.4 deg, I 50
- (1 1 2), 34.0 deg, I 36
- (2 0 2), 37.8 deg, I 28
- (3 3 2), 58.9 deg, I 24
- (4 0 2), 56.2 deg, I 21
- (2 1 3), 52.7 deg, I 21
- (5 2 1), 66.3 deg, I 16
- (3 1 4), 73.9 deg, I 13
- (4 1 1), 50.5 deg, I 11

Structural model:
```
data_Th4TlHg
_cell_length_a 7.8068
_cell_length_b 7.8068
_cell_length_c 6.0073
_cell_angle_alpha 90.00
_cell_angle_beta 90.00
_cell_angle_gamma 90.00
_space_group_name_H-M_alt 'P 4/m c c'
_space_group_IT_number 124
_space_group_name_Hall '-P 4 2c'
loop_
_atom_site_label
_atom_site_fract_x
_atom_site_fract_y
_atom_site_fract_z
Th1 0.1501 0.3447 0.0000
Tl1 0.5000 0.5000 0.2500
Hg1 0.0000 0.0000 0.2500
```

=====

Record 5
Computed powder XRD pattern
Compound: PmSm10Ho4
Radiation: Cu Kα (weighted mean of Kα1 and Kα2)
Structure: a crystal structure in Alexandria, relaxed with PBE
Peak positions follow from Bragg's law for the DFT cell and can differ from measured ones.

Most intense lines, 2θ from 10° to 80°, by intensity:
- (3 1 2), 32.6 deg, I 100
- (5 5 2), 58.2 deg, I 38
- (1 2 1), 19.8 deg, I 28
- (5 0 1), 38.5 deg, I 16
- (6 2 0), 46.8 deg, I 12
- (3 1 0), 22.9 deg, I 11
- (6 2 4), 68.4 deg, I 8
- (5 0 3), 51.3 deg, I 7
- (0 0 4), 46.9 deg, I 6
- (10 0 0), 77.8 deg, I 5

Structural model:
```
data_PmSm10Ho4
_cell_length_a 12.2827
_cell_length_b 12.2827
_cell_length_c 7.7492
_cell_angle_alpha 90.00
_cell_angle_beta 90.00
_cell_angle_gamma 90.00
_space_group_name_H-M_alt 'I 4/m'
_space_group_IT_number 87
_space_group_name_Hall '-I 4'
loop_
_atom_site_label
_atom_site_fract_x
_atom_site_fract_y
_atom_site_fract_z
Pm1 0.0000 0.0000 0.0000
Sm1 0.0000 0.5000 0.2500
Sm2 0.1001 0.2015 0.2513
Ho1 0.1002 0.6999 0.5000
```

=====

Record 6
Computed powder XRD pattern
Compound: Cs3F2
Radiation: Cu Kα (weighted mean of Kα1 and Kα2)
Structure: a crystal structure in Alexandria, relaxed with PBE
Peak positions follow from Bragg's law for the DFT cell and can differ from measured ones.

Most intense lines, 2θ from 10° to 80°, by intensity:
- (2 1 1), 23.4 deg, I 100
- (2 0 2), 23.9 deg, I 52
- (1 0 1), 11.9 deg, I 44
- (1 0 3), 21.9 deg, I 44
- (3 2 1), 37.2 deg, I 33
- (2 2 4), 39.0 deg, I 24
- (2 1 5), 40.0 deg, I 23
- (0 0 4), 26.0 deg, I 21
- (4 0 0), 40.8 deg, I 21
- (1 1 2), 19.2 deg, I 20

Structural model:
```
data_Cs3F2
_cell_length_a 8.8548
_cell_length_b 8.8548
_cell_length_c 13.7095
_cell_angle_alpha 90.00
_cell_angle_beta 90.00
_cell_angle_gamma 90.00
_space_group_name_H-M_alt 'I 41 m d'
_space_group_IT_number 109
_space_group_name_Hall 'I 4bw -2'
loop_
_atom_site_label
_atom_site_fract_x
_atom_site_fract_y
_atom_site_fract_z
Cs1 0.0000 0.0000 0.0000
Cs2 0.0000 0.2681 0.5548
F1 0.0000 0.2161 0.3488
```